For VCr2O4, DFT lattice parameters and positions (GGA+U) gives the theoretical powder diffraction line list in this record (Cu Kα, 1.54184 Å).
Lines closer than 0.1° are merged.

Crystal structure
Cell: 6.017 6.017 6.017 Å, 118.52 117.30 93.67°
Fractional positions:
1 V 0.376 0.126 0.250
2 V 0.624 0.874 0.750
3 Cr 0.000 0.000 0.500
4 Cr 0.000 0.500 0.000
5 Cr 0.000 0.500 0.500
6 Cr 0.500 0.500 0.000
7 O 0.208 0.746 0.462
8 O 0.216 0.254 0.962
9 O 0.246 0.280 0.534
10 O 0.246 0.712 0.966
11 O 0.754 0.288 0.034
12 O 0.754 0.720 0.466
13 O 0.784 0.746 0.038
14 O 0.792 0.254 0.538

Main lines, sorted by position (2θ from 10° to 80°):
two_theta, I (rel.)
17.8, 28
29.8, 55
33.9, 100
34.3, 96
35.7, 55
35.8, 56
41.1, 55
54.3, 40
54.7, 38
61.8, 94


For SrDyCo4O12, DFT lattice parameters and positions (GGA+U) gives the theoretical powder diffraction line list in this record (Cu Kα, 1.54184 Å).
Lines closer than 0.1° are merged.

Crystal structure
Cell: 5.306 5.306 7.468 Å, 90.00 90.00 90.00°
Fractional positions:
1 Sr 0.000 0.000 0.000
2 Dy 0.500 0.500 0.500
3 Co 0.000 0.500 0.247
4 Co 0.000 0.500 0.753
5 Co 0.500 0.000 0.247
6 Co 0.500 0.000 0.753
7 O 0.000 0.500 0.000
8 O 0.000 0.500 0.500
9 O 0.260 0.260 0.264
10 O 0.260 0.260 0.736
11 O 0.260 0.740 0.264
12 O 0.260 0.740 0.736
13 O 0.500 0.000 0.000
14 O 0.500 0.000 0.500
15 O 0.740 0.260 0.264
16 O 0.740 0.260 0.736
17 O 0.740 0.740 0.264
18 O 0.740 0.740 0.736

Main lines, sorted by position (2θ from 10° to 80°):
two_theta, I (rel.)
20.5, 78
33.8, 100
39.9, 28
40.0, 14
48.5, 29
48.8, 14
53.3, 12
60.5, 25
60.7, 13
71.3, 16


For Ca2MnReO6, DFT lattice parameters and positions (GGA+U) gives the theoretical powder diffraction line list in this record (Cu Kα, 1.54184 Å).
Lines closer than 0.1° are merged.

Crystal structure
Cell: 5.490 11.412 9.579 Å, 90.00 124.82 90.00°
Fractional positions:
1 Ca 0.000 0.096 0.000
2 Ca 0.000 0.404 0.499
3 Ca 0.000 0.596 0.999
4 Ca 0.000 0.904 0.500
5 Ca 0.534 0.346 0.006
6 Ca 0.534 0.654 0.506
7 Ca 0.535 0.154 0.505
8 Ca 0.535 0.846 0.005
9 Mn 0.767 0.375 0.753
10 Mn 0.767 0.625 0.253
11 Mn 0.768 0.125 0.253
12 Mn 0.768 0.875 0.753
13 Re 0.267 0.376 0.253
14 Re 0.267 0.624 0.753
15 Re 0.268 0.126 0.752
16 Re 0.268 0.874 0.252
17 O 0.029 0.233 0.195
18 O 0.029 0.767 0.695
19 O 0.030 0.267 0.695
20 O 0.030 0.733 0.195
21 O 0.130 0.393 0.016
22 O 0.130 0.607 0.516
23 O 0.133 0.107 0.517
24 O 0.133 0.893 0.017
25 O 0.401 0.143 0.988
26 O 0.401 0.857 0.488
27 O 0.404 0.357 0.489
28 O 0.404 0.643 0.989
29 O 0.504 0.484 0.809
30 O 0.504 0.516 0.309
31 O 0.505 0.017 0.310
32 O 0.505 0.983 0.810
33 O 0.603 0.219 0.800
34 O 0.603 0.781 0.300
35 O 0.604 0.282 0.300
36 O 0.604 0.718 0.800
37 O 0.930 0.032 0.704
38 O 0.930 0.968 0.204
39 O 0.931 0.469 0.205
40 O 0.931 0.531 0.705

Main lines, sorted by position (2θ from 10° to 80°):
two_theta, I (rel.)
19.2, 39
19.7, 35
22.5, 48
22.6, 22
31.4, 25
32.1, 100
32.6, 23
45.9, 27
56.3, 18
57.8, 19


For Li9Co7O16, DFT lattice parameters and positions (GGA+U) gives the theoretical powder diffraction line list in this record (Cu Kα, 1.54184 Å).
Lines closer than 0.1° are merged.

Crystal structure
Cell: 4.978 2.997 19.295 Å, 90.00 92.26 90.00°
Fractional positions:
1 Li 0.000 0.000 0.000
2 Li 0.119 0.500 0.878
3 Li 0.125 0.000 0.375
4 Li 0.374 0.500 0.625
5 Li 0.375 0.000 0.122
6 Li 0.625 0.000 0.878
7 Li 0.626 0.500 0.375
8 Li 0.875 0.000 0.625
9 Li 0.881 0.500 0.122
10 Co 0.000 0.500 0.500
11 Co 0.250 0.000 0.750
12 Co 0.251 0.500 0.249
13 Co 0.500 0.000 0.500
14 Co 0.500 0.500 0.000
15 Co 0.749 0.500 0.751
16 Co 0.750 0.000 0.250
17 O 0.053 0.500 0.693
18 O 0.054 0.000 0.191
19 O 0.188 0.000 0.557
20 O 0.224 0.500 0.056
21 O 0.312 0.500 0.443
22 O 0.336 0.000 0.947
23 O 0.444 0.500 0.808
24 O 0.446 0.000 0.307
25 O 0.554 0.000 0.693
26 O 0.556 0.500 0.192
27 O 0.664 0.000 0.053
28 O 0.688 0.500 0.557
29 O 0.776 0.500 0.944
30 O 0.812 0.000 0.443
31 O 0.946 0.000 0.809
32 O 0.947 0.500 0.307

Main lines, sorted by position (2θ from 10° to 80°):
two_theta, I (rel.)
18.4, 100
35.4, 31
37.0, 11
42.7, 60
45.2, 24
48.0, 9
56.5, 10
61.9, 9
63.7, 14
64.2, 15


For MgMn4O8, DFT lattice parameters and positions (GGA+U) gives the theoretical powder diffraction line list in this record (Cu Kα, 1.54184 Å).
Lines closer than 0.1° are merged.

Crystal structure
Cell: 7.658 7.658 10.596 Å, 133.74 133.74 23.44°
Fractional positions:
1 Mg 0.000 0.000 0.000
2 Mn 0.117 0.524 0.665
3 Mn 0.476 0.883 0.335
4 Mn 0.534 0.155 0.023
5 Mn 0.845 0.466 0.977
6 O 0.019 0.654 0.127
7 O 0.092 0.586 0.875
8 O 0.095 0.486 0.454
9 O 0.346 0.981 0.873
10 O 0.414 0.908 0.125
11 O 0.514 0.905 0.546
12 O 0.693 0.236 0.805
13 O 0.764 0.307 0.195

Main lines, sorted by position (2θ from 10° to 80°):
two_theta, I (rel.)
11.8, 100
16.7, 53
26.6, 22
34.5, 44
35.9, 11
38.5, 18
43.5, 11
45.8, 31
55.2, 18
63.6, 18